# V2PdO4
Simulated X-ray diffraction stick pattern, Cu Kα (λ = 1.5418 Å). Input: a structure optimized by DFT (GGA+U).
Intensities are scaled so that the largest is 100.

Structural model:
```
14
Lattice="4.403 -4.308 0.000 4.403 4.308 0.000 -4.390 0.000 4.402" Properties=species:S:1:pos:R:3 pbc="T T T"
V 0.000 0.000 0.000
V -2.195 0.000 2.201
V 2.201 2.154 0.000
V 0.006 -2.154 2.201
Pd 1.110 1.067 3.302
Pd 3.305 -1.067 1.101
O -2.332 0.145 4.200
O 4.204 2.298 0.139
O -0.136 -0.145 1.999
O 2.406 2.298 2.062
O 2.009 -2.298 2.341
O 4.551 0.145 2.403
O 0.210 -2.298 4.263
O 6.746 -0.145 0.202
```

Main lines, sorted by position (2θ from 15° to 90°):
- 2θ 28.68, d 3.113, I 33
- 2θ 29.00, d 3.079, I 63
- 2θ 33.83, d 2.649, I 100
- 2θ 34.39, d 2.608, I 49
- 2θ 50.98, d 1.791, I 17
- 2θ 51.60, d 1.771, I 11
- 2θ 54.17, d 1.693, I 36
- 2θ 55.32, d 1.661, I 17
- 2θ 59.29, d 1.559, I 10
- 2θ 60.10, d 1.540, I 38